Structure and simulated XRD peak list of LiPa2Te3 (a crystal structure in Alexandria, relaxed with GGA-PBE; a wavelength of 1.5418 Å).

Structural model:
Lattice parameters (Å, degrees): 4.2978 4.2978 18.1408 90.00 90.00 90.00
Sites, in units of the cell vectors:
Li1 0.0000 0.0000 0.0000
Li2 0.5000 0.5000 0.5000
Pa1 0.0000 0.0000 0.3279
Pa2 0.0000 0.0000 0.6721
Pa3 0.5000 0.5000 0.1721
Pa4 0.5000 0.5000 0.8279
Te1 0.0000 0.0000 0.1559
Te2 0.0000 0.0000 0.5000
Te3 0.0000 0.0000 0.8441
Te4 0.5000 0.5000 0.0000
Te5 0.5000 0.5000 0.3441
Te6 0.5000 0.5000 0.6559

The 10 most intense peaks (2θ from 5° to 70°), by angle:
9.75 deg, rel. 40.2; 21.25 deg, rel. 23.5; 29.39 deg, rel. 100.0; 29.54 deg, rel. 45.9; 32.29 deg, rel. 29.9; 42.05 deg, rel. 38.2; 42.16 deg, rel. 70.6; 52.22 deg, rel. 38.1; 53.99 deg, rel. 14.3; 69.15 deg, rel. 34.2

Structure and simulated XRD peak list of YTm3Bi4 (a crystal structure in Alexandria, relaxed with GGA-PBE; a wavelength of 1.5418 Å).

Structural model:
Lattice parameters (Å, degrees): 6.2833 6.2833 6.2833 90.00 90.00 90.00
Sites, in units of the cell vectors:
Y1 0.0000 0.0000 0.0000
Tm1 0.0000 0.5000 0.5000
Tm2 0.5000 0.0000 0.5000
Tm3 0.5000 0.5000 0.0000
Bi1 0.0000 0.0000 0.5000
Bi2 0.0000 0.5000 0.0000
Bi3 0.5000 0.0000 0.0000
Bi4 0.5000 0.5000 0.5000

The 10 most intense peaks (2θ from 5° to 70°), by angle:
14.10 deg, rel. 1.4; 19.98 deg, rel. 1.3; 24.54 deg, rel. 4.8; 28.41 deg, rel. 100.0; 40.61 deg, rel. 78.0; 48.02 deg, rel. 2.8; 50.30 deg, rel. 28.3; 58.78 deg, rel. 13.4; 64.66 deg, rel. 1.2; 66.56 deg, rel. 37.1

Structure and simulated XRD peak list of BaZn3H8 (a crystal structure in Alexandria, relaxed with GGA-PBE; a wavelength of 1.5418 Å).

Structural model:
Lattice parameters (Å, degrees): 7.5048 7.5048 7.5048 37.37 37.37 37.37
Sites, in units of the cell vectors:
Ba1 0.0000 0.0000 0.0000
Zn1 0.2383 0.2383 0.2383
Zn2 0.5000 0.5000 0.5000
Zn3 0.7617 0.7617 0.7617
H1 0.1298 0.4622 0.7499
H2 0.2501 0.8702 0.5378
H3 0.3189 0.3189 0.3189
H4 0.4622 0.7499 0.1298
H5 0.5378 0.2501 0.8702
H6 0.6811 0.6811 0.6811
H7 0.7499 0.1298 0.4622
H8 0.8702 0.5378 0.2501

The 10 most intense peaks (2θ from 5° to 70°), by angle:
27.38 deg, rel. 100.0; 30.28 deg, rel. 7.9; 37.40 deg, rel. 44.7; 40.75 deg, rel. 29.9; 46.97 deg, rel. 22.2; 56.50 deg, rel. 11.3; 61.53 deg, rel. 19.3; 66.22 deg, rel. 11.7; 67.47 deg, rel. 7.7; 69.74 deg, rel. 11.7

What did the third record say?
Structure and simulated XRD peak list of BaZn3H8 (a crystal structure in Alexandria, relaxed with GGA-PBE; a wavelength of 1.5418 Å).

Structural model:
Lattice parameters (Å, degrees): 7.5048 7.5048 7.5048 37.37 37.37 37.37
Sites, in units of the cell vectors:
Ba1 0.0000 0.0000 0.0000
Zn1 0.2383 0.2383 0.2383
Zn2 0.5000 0.5000 0.5000
Zn3 0.7617 0.7617 0.7617
H1 0.1298 0.4622 0.7499
H2 0.2501 0.8702 0.5378
H3 0.3189 0.3189 0.3189
H4 0.4622 0.7499 0.1298
H5 0.5378 0.2501 0.8702
H6 0.6811 0.6811 0.6811
H7 0.7499 0.1298 0.4622
H8 0.8702 0.5378 0.2501

The 10 most intense peaks (2θ from 5° to 70°), by angle:
27.38 deg, rel. 100.0; 30.28 deg, rel. 7.9; 37.40 deg, rel. 44.7; 40.75 deg, rel. 29.9; 46.97 deg, rel. 22.2; 56.50 deg, rel. 11.3; 61.53 deg, rel. 19.3; 66.22 deg, rel. 11.7; 67.47 deg, rel. 7.7; 69.74 deg, rel. 11.7